(1)
This entry pairs a crystal structure of GaSbPd with its computed X-ray powder pattern. Radiation: λ = 1.5418 Å (Cu Kα). Structure: a PBE-relaxed structure.

Structural model:
```
GaSbPd
1.0
3.1323 -3.1328 0.0000
3.1323 3.1328 0.0000
-0.0084 0.0000 6.4976
Ga Sb Pd
2 2 2
direct
0.0001 0.9999 0.2500
0.9999 0.0001 0.7500
0.5003 0.4997 0.2500
0.4997 0.5003 0.7500
0.0000 0.5000 0.0000
0.5000 0.0000 0.5000
```

Peak list (10 most intense, 10 to 90 degrees two-theta, by angle)
- 2θ 24.32, intensity 48
- 2θ 28.49, intensity 10
- 2θ 39.98, intensity 100
- 2θ 40.73, intensity 47
- 2θ 46.68, intensity 8
- 2θ 48.01, intensity 15
- 2θ 56.67, intensity 9
- 2θ 58.97, intensity 16
- 2θ 72.10, intensity 17
- 2θ 73.64, intensity 32

(2)
This entry pairs a crystal structure of Tb2Tm3In7 with its computed X-ray powder pattern. Radiation: λ = 1.5418 Å (Cu Kα). Structure: a PBE-relaxed structure.

Structural model:
```
Tb2Tm3In7
1.0
2.5510 -12.8826 0.0000
2.5510 12.8826 0.0000
0.0000 0.0000 5.2426
Tb Tm In
2 3 7
direct
0.1486 0.8514 0.0000
0.8514 0.1486 0.0000
0.3505 0.6495 0.5000
0.5000 0.5000 0.5000
0.6495 0.3505 0.5000
0.0000 0.0000 0.0000
0.0766 0.9234 0.5000
0.2779 0.7221 0.0000
0.4273 0.5727 0.0000
0.5727 0.4273 0.0000
0.7221 0.2779 0.0000
0.9234 0.0766 0.5000
```

Peak list (10 most intense, 10 to 90 degrees two-theta, by angle)
- 2θ 29.96, intensity 11
- 2θ 34.21, intensity 27
- 2θ 34.58, intensity 100
- 2θ 35.18, intensity 25
- 2θ 49.54, intensity 8
- 2θ 49.88, intensity 19
- 2θ 61.48, intensity 19
- 2θ 62.21, intensity 8
- 2θ 62.74, intensity 17
- 2θ 72.94, intensity 9

(3)
This entry pairs a crystal structure of PrAuBr4 with its computed X-ray powder pattern. Radiation: λ = 1.5418 Å (Cu Kα). Structure: a PBE-relaxed structure.

Structural model:
```
PrAuBr4
1.0
4.1773 -9.7888 0.0000
4.1773 9.7888 0.0000
-3.9806 0.0000 6.2888
Pr Au Br
2 2 8
direct
0.1921 0.8079 0.7500
0.8079 0.1921 0.2500
0.4150 0.5850 0.2500
0.5850 0.4150 0.7500
0.0207 0.4341 0.7158
0.1142 0.2599 0.1946
0.2599 0.1142 0.6946
0.4341 0.0207 0.2158
0.5659 0.9793 0.7842
0.7401 0.8858 0.3054
0.8858 0.7401 0.8054
0.9793 0.5659 0.2842
```

Peak list (10 most intense, 10 to 90 degrees two-theta, by angle)
- 2θ 16.76, intensity 100
- 2θ 18.77, intensity 56
- 2θ 23.03, intensity 52
- 2θ 23.16, intensity 27
- 2θ 26.02, intensity 33
- 2θ 28.09, intensity 22
- 2θ 28.38, intensity 58
- 2θ 35.58, intensity 28
- 2θ 40.21, intensity 26
- 2θ 50.09, intensity 21

(4)
This entry pairs a crystal structure of Pr6YHo2 with its computed X-ray powder pattern. Radiation: λ = 1.5418 Å (Cu Kα). Structure: a PBE-relaxed structure.

Structural model:
```
Pr6YHo2
1.0
4.7477 -8.9388 0.0000
4.7477 8.9388 0.0000
0.0000 0.0000 3.6932
Pr Y Ho
6 1 2
direct
0.0101 0.3411 0.0000
0.1827 0.1827 0.5000
0.3411 0.0101 0.0000
0.6589 0.9899 0.0000
0.8173 0.8173 0.5000
0.9899 0.6589 0.0000
0.5000 0.5000 0.0000
0.3236 0.6764 0.5000
0.6764 0.3236 0.5000
```

Peak list (10 most intense, 10 to 90 degrees two-theta, by angle)
- 2θ 28.64, intensity 35
- 2θ 29.98, intensity 100
- 2θ 32.02, intensity 11
- 2θ 32.30, intensity 34
- 2θ 36.81, intensity 17
- 2θ 37.96, intensity 20
- 2θ 51.53, intensity 11
- 2θ 53.24, intensity 11
- 2θ 56.65, intensity 19
- 2θ 58.83, intensity 11

(5)
This entry pairs a crystal structure of La3Th5As8 with its computed X-ray powder pattern. Radiation: λ = 1.5418 Å (Cu Kα). Structure: a PBE-relaxed structure.

Structural model:
```
La3Th5As8
1.0
4.2913 2.4776 7.0195
-4.2913 2.4776 7.0195
0.0000 -4.9551 7.0195
La Th As
3 5 8
direct
0.0000 0.5000 0.5000
0.5000 0.0000 0.5000
0.5000 0.5000 0.0000
0.0000 0.0000 0.0000
0.0000 0.0000 0.5000
0.0000 0.5000 0.0000
0.5000 0.0000 0.0000
0.5000 0.5000 0.5000
0.2450 0.7500 0.7500
0.2471 0.2471 0.2471
0.2500 0.2500 0.7550
0.2500 0.7550 0.2500
0.7500 0.2450 0.7500
0.7500 0.7500 0.2450
0.7529 0.7529 0.7529
0.7550 0.2500 0.2500
```

Peak list (10 most intense, 10 to 90 degrees two-theta, by angle)
- 2θ 12.62, intensity 5
- 2θ 25.41, intensity 34
- 2θ 29.42, intensity 100
- 2θ 42.09, intensity 76
- 2θ 49.80, intensity 17
- 2θ 52.18, intensity 27
- 2θ 61.04, intensity 13
- 2θ 69.19, intensity 35
- 2θ 76.83, intensity 7
- 2θ 76.95, intensity 20

(6)
This entry pairs a crystal structure of Cs4CrCl5 with its computed X-ray powder pattern. Radiation: λ = 1.5418 Å (Cu Kα). Structure: a PBE-relaxed structure.

Structural model:
```
Cs4CrCl5
1.0
-5.2494 5.2494 3.5288
5.2494 -5.2494 3.5288
5.2494 5.2494 -3.5288
Cs Cr Cl
4 1 5
direct
0.0931 0.2950 0.3881
0.2950 0.9069 0.2020
0.7050 0.0931 0.7980
0.9069 0.7050 0.6119
0.5331 0.5331 0.0000
0.2400 0.5748 0.8298
0.4102 0.2400 0.6652
0.5748 0.7450 0.3348
0.7450 0.4102 0.1702
0.8957 0.8957 0.0000
```

Peak list (10 most intense, 10 to 90 degrees two-theta, by angle)
- 2θ 22.75, intensity 95
- 2θ 25.24, intensity 56
- 2θ 26.85, intensity 100
- 2θ 37.18, intensity 76
- 2θ 38.34, intensity 32
- 2θ 43.00, intensity 22
- 2θ 45.05, intensity 40
- 2θ 46.46, intensity 33
- 2θ 58.95, intensity 24
- 2θ 59.31, intensity 17

(7)
This entry pairs a crystal structure of LaPdPb with its computed X-ray powder pattern. Radiation: λ = 1.5418 Å (Cu Kα). Structure: a PBE-relaxed structure.

Structural model:
```
LaPdPb
1.0
7.8856 0.0000 0.0000
-3.9428 6.8291 0.0000
0.0000 0.0000 4.2325
La Pd Pb
3 3 3
direct
0.0000 0.4117 0.0000
0.4117 0.0000 0.0000
0.5883 0.5883 0.0000
0.0000 0.0000 0.0000
0.3333 0.6667 0.5000
0.6667 0.3333 0.5000
0.0000 0.7463 0.5000
0.2537 0.2537 0.5000
0.7463 0.0000 0.5000
```

Peak list (10 most intense, 10 to 90 degrees two-theta, by angle)
- 2θ 31.00, intensity 100
- 2θ 33.73, intensity 78
- 2θ 34.76, intensity 62
- 2θ 39.59, intensity 28
- 2θ 40.95, intensity 36
- 2θ 42.73, intensity 27
- 2θ 56.21, intensity 32
- 2θ 59.66, intensity 17
- 2θ 63.30, intensity 34
- 2θ 70.94, intensity 17